1.
Starting from a crystal structure in Alexandria, relaxed with PBE, the XRD peak list of LaPm3Au4 was simulated for Cu Kα (λ = 1.5418 Å).
Kinematic intensities with the Lorentz-polarization factor, no thermal factor.

Top 6 peaks for 15 to 90 degrees two-theta, low angle first:
2θ (°)	intensity
23.9	3
34.1	100
49.0	18
61.0	38
71.8	12
81.9	17

Structural model:
Cell: 6.4405 6.4405 6.4405 Å, 109.47 109.47 109.47°
Fractional positions:
La 0.0000 0.0000 0.0000
Pm 0.0000 0.5000 0.5000
Pm 0.5000 0.0000 0.5000
Pm 0.5000 0.5000 0.0000
Au 0.0000 0.0000 0.5000
Au 0.0000 0.5000 0.0000
Au 0.5000 0.0000 0.0000
Au 0.5000 0.5000 0.5000

***

2.
Starting from a crystal structure in Alexandria, relaxed with PBE, the XRD peak list of La3PmAu2 was simulated for Cu Kα (λ = 1.5418 Å).
Kinematic intensities with the Lorentz-polarization factor, no thermal factor.

Top 6 peaks for 15 to 90 degrees two-theta, low angle first:
2θ (°)	intensity
28.2	52
30.8	39
31.3	100
33.2	79
34.6	64
41.5	52

Structural model:
Cell: 5.1816 9.4866 7.3494 Å, 90.00 90.00 90.00°
Fractional positions:
La 0.0000 0.0760 0.0000
La 0.0000 0.3381 0.3492
La 0.0000 0.6619 0.8492
La 0.0000 0.9240 0.5000
La 0.5000 0.1633 0.6572
La 0.5000 0.8367 0.1572
Pm 0.5000 0.4274 0.0076
Pm 0.5000 0.5726 0.5076
Au 0.0000 0.3482 0.7692
Au 0.0000 0.6518 0.2692
Au 0.5000 0.1583 0.2383
Au 0.5000 0.8417 0.7383

***

3.
Starting from a crystal structure in Alexandria, relaxed with PBE, the XRD peak list of LaPmAu2 was simulated for Cu Kα (λ = 1.5418 Å).
Kinematic intensities with the Lorentz-polarization factor, no thermal factor.

Top 6 peaks for 15 to 90 degrees two-theta, low angle first:
2θ (°)	intensity
30.4	100
31.4	33
36.6	28
37.4	38
37.9	94
46.2	21

Structural model:
Cell: 4.8135 6.0326 6.0326 Å, 38.02 90.00 90.00°
Fractional positions:
La 0.0000 0.0000 0.0000
Pm 0.5000 0.2735 0.2735
Au 0.0000 0.7242 0.7242
Au 0.5000 0.5496 0.5496

***

4.
Starting from a crystal structure in Alexandria, relaxed with PBE, the XRD peak list of LaPm2Au was simulated for Cu Kα (λ = 1.5418 Å).
Kinematic intensities with the Lorentz-polarization factor, no thermal factor.

Top 6 peaks for 15 to 90 degrees two-theta, low angle first:
2θ (°)	intensity
29.1	28
30.3	100
31.7	31
33.1	33
34.0	38
36.1	27

Structural model:
Cell: 7.1977 10.3238 6.7920 Å, 90.00 90.00 90.00°
Fractional positions:
La 0.0100 0.2500 0.1339
La 0.4900 0.7500 0.6339
La 0.5100 0.2500 0.3661
La 0.9900 0.7500 0.8661
Pm 0.1886 0.0528 0.6719
Pm 0.1886 0.4472 0.6719
Pm 0.3114 0.5528 0.1719
Pm 0.3114 0.9472 0.1719
Pm 0.6886 0.0528 0.8281
Pm 0.6886 0.4472 0.8281
Pm 0.8114 0.5528 0.3281
Pm 0.8114 0.9472 0.3281
Au 0.1081 0.7500 0.4253
Au 0.3919 0.2500 0.9253
Au 0.6081 0.7500 0.0747
Au 0.8919 0.2500 0.5747

***

5.
Starting from a crystal structure in Alexandria, relaxed with PBE, the XRD peak list of LaPmAu4 was simulated for Cu Kα (λ = 1.5418 Å).
Kinematic intensities with the Lorentz-polarization factor, no thermal factor.

Top 6 peaks for 15 to 90 degrees two-theta, low angle first:
2θ (°)	intensity
32.6	100
36.8	72
37.1	36
37.3	35
46.5	18
46.9	18

Structural model:
Cell: 3.8713 5.3892 7.7476 Å, 70.32 75.94 69.47°
Fractional positions:
La 0.0000 0.0000 0.0000
Pm 0.0000 0.5000 0.5000
Au 0.3358 0.9948 0.3387
Au 0.3409 0.5043 0.8239
Au 0.6591 0.4957 0.1761
Au 0.6642 0.0052 0.6613

***

6.
Starting from a crystal structure in Alexandria, relaxed with PBE, the XRD peak list of La2PmPr4Au2 was simulated for Cu Kα (λ = 1.5418 Å).
Kinematic intensities with the Lorentz-polarization factor, no thermal factor.

Top 6 peaks for 15 to 90 degrees two-theta, low angle first:
2θ (°)	intensity
29.1	82
29.2	60
29.7	95
29.9	100
35.5	88
36.4	97

Structural model:
Cell: 6.3481 6.8127 7.7536 Å, 66.34 83.29 73.48°
Fractional positions:
La 0.2229 0.0507 0.3324
La 0.7771 0.9493 0.6676
Pm 0.0000 0.5000 0.5000
Pr 0.2630 0.0055 0.8616
Pr 0.4353 0.5054 0.7558
Pr 0.5647 0.4946 0.2442
Pr 0.7370 0.9945 0.1384
Au 0.0916 0.6004 0.0898
Au 0.9084 0.3996 0.9102